The following is a simulated XRD peak list of V3Ni4Ru. It was derived from a cell relaxed with GGA-PBE, using Cu Kα (λ = 1.5418 Å).
Peak positions follow from Bragg's law for the DFT cell and can differ from measured ones.

Structural model:
Cell: 7.2688 5.1434 5.1874 Å, 90.00 90.00 90.00°
Fractional positions:
V 0.0000 0.0000 0.0000
V 0.2500 0.2567 0.2500
V 0.2500 0.7433 0.7500
V 0.5000 0.0000 0.5000
V 0.7500 0.2567 0.2500
V 0.7500 0.7433 0.7500
Ni 0.0000 0.0000 0.5000
Ni 0.0000 0.5000 0.5000
Ni 0.2500 0.2374 0.7500
Ni 0.2500 0.7626 0.2500
Ni 0.5000 0.0000 0.0000
Ni 0.5000 0.5000 0.0000
Ni 0.7500 0.2374 0.7500
Ni 0.7500 0.7626 0.2500
Ru 0.0000 0.5000 0.0000
Ru 0.5000 0.5000 0.5000

Largest 10 diffraction maxima, sorted by position, 2θ from 10° to 90°:
d_spacing	Position (°2θ)	I/Imax	index
2.111	42.8	100	2 0 2
2.099	43.1	97	2 2 0
1.826	49.9	62	0 2 2
1.817	50.2	31	4 0 0
1.297	72.9	9	0 0 4
1.288	73.5	36	4 2 2
1.286	73.7	9	0 4 0
1.103	88.7	22	2 2 4
1.098	89.2	32	6 0 2
1.096	89.4	11	6 2 0